Diffraction record for Mn3AgN. The X-ray diffraction stick pattern is theoretical, not measured: it uses a structure optimized by DFT (PBE) and Cu Kα, 1.54184 Å.
Neutral-atom scattering factors, no anomalous dispersion.

Crystal structure
```
data_Mn3AgN
_cell_length_a 4.0036
_cell_length_b 4.0036
_cell_length_c 4.0036
_cell_angle_alpha 90.00
_cell_angle_beta 90.00
_cell_angle_gamma 90.00
_space_group_name_H-M_alt 'P m -3 m'
_space_group_IT_number 221
_space_group_name_Hall '-P 4 2 3'
loop_
_atom_site_label
_atom_site_fract_x
_atom_site_fract_y
_atom_site_fract_z
Mn1 0.0000 0.0000 0.5000
Ag1 0.5000 0.5000 0.5000
N1 0.0000 0.0000 0.0000
```

Principal peaks in the range 2θ from 10° to 90°, sorted by position:
d (Å)  2θ/deg  I_rel
4.004  22.2  7.3
2.831  31.6  18.5
2.311  39.0  100.0
2.002  45.3  56.9
1.790  51.0  3.9
1.634  56.3  6.5
1.415  66.0  33.4
1.266  75.0  2.7
1.207  79.4  33.1
1.156  83.7  11.1

Diffraction record for BaGe3Ir. The X-ray diffraction stick pattern is theoretical, not measured: it uses a structure optimized by DFT (PBE) and Cu Kα, 1.54184 Å.
Neutral-atom scattering factors, no anomalous dispersion.

Crystal structure
```
data_BaGe3Ir
_cell_length_a 4.6088
_cell_length_b 4.6088
_cell_length_c 10.3530
_cell_angle_alpha 90.00
_cell_angle_beta 90.00
_cell_angle_gamma 90.00
_space_group_name_H-M_alt 'I 4 m m'
_space_group_IT_number 107
_space_group_name_Hall 'I 4 -2'
loop_
_atom_site_label
_atom_site_fract_x
_atom_site_fract_y
_atom_site_fract_z
Ba1 0.0000 0.0000 0.0000
Ge1 0.0000 0.0000 0.4119
Ge2 0.0000 0.5000 0.2513
Ir1 0.0000 0.0000 0.6513
```

Principal peaks in the range 2θ from 10° to 90°, sorted by position:
d (Å)  2θ/deg  I_rel
4.210  21.1  23.4
3.259  27.4  25.6
2.760  32.4  100.0
2.304  39.1  49.8
2.027  44.7  18.0
1.889  48.2  15.5
1.770  51.7  30.6
1.629  56.5  17.0
1.461  63.7  13.4
1.403  66.7  17.8

Diffraction record for Pu3Sn. The X-ray diffraction stick pattern is theoretical, not measured: it uses a structure optimized by DFT (PBE) and Cu Kα, 1.54184 Å.
Neutral-atom scattering factors, no anomalous dispersion.

Crystal structure
```
data_Pu3Sn
_cell_length_a 4.7372
_cell_length_b 4.7372
_cell_length_c 4.7372
_cell_angle_alpha 90.00
_cell_angle_beta 90.00
_cell_angle_gamma 90.00
_space_group_name_H-M_alt 'P m -3 m'
_space_group_IT_number 221
_space_group_name_Hall '-P 4 2 3'
loop_
_atom_site_label
_atom_site_fract_x
_atom_site_fract_y
_atom_site_fract_z
Pu1 0.0000 0.0000 0.5000
Sn1 0.5000 0.5000 0.5000
```

Principal peaks in the range 2θ from 10° to 90°, sorted by position:
d (Å)  2θ/deg  I_rel
4.737  18.7  5.3
3.350  26.6  4.7
2.735  32.7  100.0
2.369  38.0  50.7
2.119  42.7  2.7
1.934  47.0  2.1
1.675  54.8  36.1
1.428  65.3  43.2
1.368  68.6  12.5
1.184  81.2  6.0

Diffraction record for DyMg16Al12. The X-ray diffraction stick pattern is theoretical, not measured: it uses a structure optimized by DFT (PBE) and Cu Kα, 1.54184 Å.
Neutral-atom scattering factors, no anomalous dispersion.

Crystal structure
```
data_DyMg16Al12
_cell_length_a 15.2036
_cell_length_b 15.2036
_cell_length_c 8.8214
_cell_angle_alpha 90.00
_cell_angle_beta 90.00
_cell_angle_gamma 120.00
_space_group_name_H-M_alt 'R 3 m'
_space_group_IT_number 160
_space_group_name_Hall 'R 3 -2"'
loop_
_atom_site_label
_atom_site_fract_x
_atom_site_fract_y
_atom_site_fract_z
Dy1 0.0000 0.0000 0.0000
Mg1 0.0000 0.0000 0.6250
Mg2 0.0325 0.3599 0.9894
Mg3 0.1061 0.5530 0.1763
Mg4 0.1102 0.2204 0.1284
Mg5 0.1994 0.3987 0.7431
Al1 0.0012 0.1815 0.8115
Al2 0.1200 0.0600 0.3177
Al3 0.2118 0.4236 0.2263
```

Principal peaks in the range 2θ from 10° to 90°, sorted by position:
d (Å)  2θ/deg  I_rel
7.602  11.6  74.8
7.329  12.1  45.4
5.276  16.8  29.2
4.334  20.5  32.0
2.534  35.4  56.9
2.523  35.6  30.1
2.492  36.0  96.9
2.443  36.8  100.0
2.284  39.5  50.5
1.445  64.5  30.5

Diffraction record for MgAg2P2S6. The X-ray diffraction stick pattern is theoretical, not measured: it uses a structure optimized by DFT (PBE) and Cu Kα, 1.54184 Å.
Neutral-atom scattering factors, no anomalous dispersion.

Crystal structure
```
data_MgAg2P2S6
_cell_length_a 6.4049
_cell_length_b 11.0192
_cell_length_c 13.7055
_cell_angle_alpha 90.00
_cell_angle_beta 98.32
_cell_angle_gamma 90.00
_space_group_name_H-M_alt 'C 1 2/c 1'
_space_group_IT_number 15
loop_
_space_group_symop_operation_xyz
'x,y,z'
'-x,-y,-z'
'-x,y,-z+1/2'
'x,-y,z+1/2'
'x+1/2,y+1/2,z'
'-x+1/2,-y+1/2,-z'
'-x+1/2,y+1/2,-z+1/2'
'x+1/2,-y+1/2,z+1/2'
loop_
_atom_site_label
_atom_site_fract_x
_atom_site_fract_y
_atom_site_fract_z
Mg1 0.0000 0.0771 0.2500
Ag1 0.0542 0.4106 0.4002
P1 0.0306 0.2535 0.8337
S1 0.0636 0.0876 0.6215
S2 0.1480 0.3924 0.6203
S3 0.1532 0.2172 0.1252
```

Principal peaks in the range 2θ from 10° to 90°, sorted by position:
d (Å)  2θ/deg  I_rel
5.494  16.1  65.8
4.029  22.1  33.4
3.495  25.5  50.2
3.390  26.3  100.0
3.169  28.2  38.1
3.145  28.4  74.7
3.062  29.2  29.6
2.760  32.4  55.0
2.227  40.5  33.1
1.846  49.4  40.3

Diffraction record for NdSF. The X-ray diffraction stick pattern is theoretical, not measured: it uses a structure optimized by DFT (PBE) and Cu Kα, 1.54184 Å.
Neutral-atom scattering factors, no anomalous dispersion.

Crystal structure
```
data_NdSF
_cell_length_a 3.9528
_cell_length_b 3.9528
_cell_length_c 6.9929
_cell_angle_alpha 90.00
_cell_angle_beta 90.00
_cell_angle_gamma 90.00
_space_group_name_H-M_alt 'P 4/n m m'
_space_group_IT_number 129
loop_
_space_group_symop_operation_xyz
'x,y,z'
'-x,-y,-z'
'-y+1/2,x,z'
'y+1/2,-x,-z'
'-x+1/2,-y+1/2,z'
'x+1/2,y+1/2,-z'
'y,-x+1/2,z'
'-y,x+1/2,-z'
'x+1/2,-y,-z'
'-x+1/2,y,z'
'-y,-x,-z'
'y,x,z'
'-x,y+1/2,-z'
'x,-y+1/2,z'
'y+1/2,x+1/2,-z'
'-y+1/2,-x+1/2,z'
loop_
_atom_site_label
_atom_site_fract_x
_atom_site_fract_y
_atom_site_fract_z
Nd1 0.2500 0.2500 0.2298
S1 0.2500 0.2500 0.6466
F1 0.2500 0.7500 0.0000
```

Principal peaks in the range 2θ from 10° to 90°, sorted by position:
d (Å)  2θ/deg  I_rel
3.496  25.5  32.1
3.441  25.9  100.0
2.795  32.0  53.9
2.619  34.2  16.8
2.183  41.4  60.3
2.008  45.2  35.5
1.976  45.9  30.1
1.721  53.2  17.6
1.714  53.5  28.8
1.409  66.4  22.3

Diffraction record for BaTbEuSnO6. The X-ray diffraction stick pattern is theoretical, not measured: it uses a structure optimized by DFT (PBE) and Cu Kα, 1.54184 Å.
Neutral-atom scattering factors, no anomalous dispersion.

Crystal structure
```
data_BaTbEuSnO6
_cell_length_a 8.5491
_cell_length_b 8.5491
_cell_length_c 8.5491
_cell_angle_alpha 90.00
_cell_angle_beta 90.00
_cell_angle_gamma 90.00
_space_group_name_H-M_alt 'F -4 3 m'
_space_group_IT_number 216
_space_group_name_Hall 'F -4 2 3'
loop_
_atom_site_label
_atom_site_fract_x
_atom_site_fract_y
_atom_site_fract_z
Ba1 0.0000 0.0000 0.0000
Tb1 0.2500 0.2500 0.7500
Eu1 0.0000 0.0000 0.5000
Sn1 0.2500 0.2500 0.2500
O1 0.0094 0.2500 0.2500
```

Principal peaks in the range 2θ from 10° to 90°, sorted by position:
d (Å)  2θ/deg  I_rel
4.936  18.0  1.0
3.023  29.6  100.0
2.578  34.8  0.9
2.468  36.4  1.5
2.137  42.3  29.2
1.745  52.4  41.4
1.511  61.3  18.6
1.352  69.5  18.4
1.234  77.3  6.2
1.142  84.9  22.4

Diffraction record for Zn3Cr8FeS16. The X-ray diffraction stick pattern is theoretical, not measured: it uses a structure optimized by DFT (PBE) and Cu Kα, 1.54184 Å.
Neutral-atom scattering factors, no anomalous dispersion.

Crystal structure
```
data_Zn3Cr8FeS16
_cell_length_a 7.0861
_cell_length_b 7.0861
_cell_length_c 34.6889
_cell_angle_alpha 90.00
_cell_angle_beta 90.00
_cell_angle_gamma 120.00
_space_group_name_H-M_alt 'R 3 m'
_space_group_IT_number 160
_space_group_name_Hall 'R 3 -2"'
loop_
_atom_site_label
_atom_site_fract_x
_atom_site_fract_y
_atom_site_fract_z
Zn1 0.0000 0.0000 0.0000
Zn2 0.0000 0.0000 0.1251
Zn3 0.0000 0.0000 0.6250
Cr1 0.0000 0.0000 0.3124
Cr2 0.0000 0.0000 0.8131
Cr3 0.0011 0.5005 0.0626
Cr4 0.0016 0.5008 0.5622
Fe1 0.0000 0.0000 0.5000
S1 0.0000 0.0000 0.1928
S2 0.0000 0.0000 0.4334
S3 0.0000 0.0000 0.6928
S4 0.0000 0.0000 0.9323
S5 0.0284 0.5142 0.4358
S6 0.0282 0.5141 0.9357
S7 0.1774 0.3548 0.5222
S8 0.1806 0.3611 0.0226
```

Principal peaks in the range 2θ from 10° to 90°, sorted by position:
d (Å)  2θ/deg  I_rel
3.542  25.1  38.9
3.021  29.6  100.0
2.505  35.9  42.1
2.045  44.3  14.7
1.928  47.1  48.8
1.771  51.6  87.0
1.528  60.6  11.6
1.304  72.5  16.7
1.252  76.0  12.1
1.157  83.6  11.9

Diffraction record for NdHo3. The X-ray diffraction stick pattern is theoretical, not measured: it uses a structure optimized by DFT (PBE) and Cu Kα, 1.54184 Å.
Neutral-atom scattering factors, no anomalous dispersion.

Crystal structure
```
data_NdHo3
_cell_length_a 7.2631
_cell_length_b 7.2631
_cell_length_c 5.7010
_cell_angle_alpha 90.00
_cell_angle_beta 90.00
_cell_angle_gamma 120.00
_space_group_name_H-M_alt 'P 63/m m c'
_space_group_IT_number 194
_space_group_name_Hall '-P 6c 2c'
loop_
_atom_site_label
_atom_site_fract_x
_atom_site_fract_y
_atom_site_fract_z
Nd1 0.3333 0.6667 0.2500
Ho1 0.1652 0.3303 0.7500
```

Principal peaks in the range 2θ from 10° to 90°, sorted by position:
d (Å)  2θ/deg  I_rel
3.145  28.4  23.7
2.851  31.4  24.4
2.754  32.5  100.0
2.112  42.8  15.7
1.816  50.2  19.8
1.626  56.6  20.8
1.531  60.4  22.7
1.516  61.1  16.4
1.164  83.0  14.0
1.121  86.9  8.5

Diffraction record for K2InCuBr6. The X-ray diffraction stick pattern is theoretical, not measured: it uses a structure optimized by DFT (PBE) and Cu Kα, 1.54184 Å.
Neutral-atom scattering factors, no anomalous dispersion.

Crystal structure
```
data_K2InCuBr6
_cell_length_a 10.7815
_cell_length_b 10.7815
_cell_length_c 10.7815
_cell_angle_alpha 90.00
_cell_angle_beta 90.00
_cell_angle_gamma 90.00
_space_group_name_H-M_alt 'F m -3 m'
_space_group_IT_number 225
_space_group_name_Hall '-F 4 2 3'
loop_
_atom_site_label
_atom_site_fract_x
_atom_site_fract_y
_atom_site_fract_z
K1 0.2500 0.2500 0.2500
In1 0.0000 0.0000 0.0000
Cu1 0.0000 0.0000 0.5000
Br1 0.0000 0.0000 0.2550
```

Principal peaks in the range 2θ from 10° to 90°, sorted by position:
d (Å)  2θ/deg  I_rel
5.391  16.4  69.8
3.112  28.7  51.9
2.695  33.2  100.0
2.411  37.3  36.5
1.906  47.7  69.4
1.797  50.8  18.7
1.625  56.6  20.9
1.556  59.4  23.4
1.205  79.5  29.6
1.100  88.9  23.0